Diffraction record for Cs6Al3Br14. The powder diffractogram is calculated, not measured: it uses the PBE geometry in Alexandria and Cu Kα.

Atomic structure:
```
Cs6Al3Br14
1.0
13.197 0.000 0.000
-6.598 11.429 0.000
0.000 0.000 6.798
Cs Al Br
6 3 14
direct
0.011 0.564 0.000
0.323 0.102 0.538
0.436 0.447 0.000
0.553 0.989 0.000
0.778 0.677 0.538
0.898 0.222 0.538
0.000 0.000 0.970
0.333 0.667 0.442
0.667 0.333 0.271
0.000 0.000 0.312
0.066 0.877 0.853
0.123 0.189 0.853
0.211 0.477 0.328
0.266 0.789 0.328
0.333 0.667 0.785
0.461 0.195 0.052
0.523 0.734 0.328
0.526 0.400 0.491
0.600 0.126 0.491
0.734 0.539 0.052
0.805 0.266 0.052
0.811 0.934 0.853
0.874 0.474 0.491
```

Largest 12 diffraction maxima, low angle first, 2θ = 5–70°:
| index | d [Å] | I_rel |
| --- | --- | --- |
| 2 -1 1 | 4.735 | 33 |
| 0 2 1 | 4.374 | 50 |
| 3 -1 1 | 3.646 | 43 |
| 0 3 1 | 3.323 | 59 |
| 0 1 2 | 3.258 | 41 |
| 1 3 0 | 3.170 | 76 |
| 1 1 2 | 3.022 | 27 |
| 2 0 2 | 2.921 | 24 |
| 3 1 1 | 2.873 | 100 |
| 2 1 2 | 2.671 | 28 |
| 3 1 2 | 2.318 | 33 |
| 4 -3 3 | 1.844 | 29 |